[1]
Simulated powder XRD pattern of NdDyErTm2 for copper Kα, from a cell relaxed with PBE.
Peak positions follow from Bragg's law for the DFT cell and can differ from measured ones.

```
NdDyErTm2
1.0
4.168 -5.699 0.000
4.168 5.699 0.000
0.000 0.000 7.166
Nd Dy Er Tm
2 2 2 4
Direct
0.228 0.772 0.750
0.772 0.228 0.250
0.500 0.500 0.250
0.500 0.500 0.750
0.220 0.780 0.250
0.780 0.220 0.750
0.189 0.189 0.000
0.189 0.189 0.500
0.811 0.811 0.000
0.811 0.811 0.500
```

The 10 most intense peaks (10 to 90 degrees two-theta), low angle first:
2θ 26.50, rel. 49
2θ 28.22, rel. 33
2θ 29.45, rel. 58
2θ 31.39, rel. 62
2θ 32.97, rel. 100
2θ 33.19, rel. 34
2θ 36.10, rel. 58
2θ 40.21, rel. 43
2θ 46.16, rel. 65
2θ 66.58, rel. 35

***

[2]
Simulated powder XRD pattern of DyTlSe4 for copper Kα, from a cell relaxed with PBE.
Peak positions follow from Bragg's law for the DFT cell and can differ from measured ones.

```
DyTlSe4
1.0
6.261 0.000 0.000
0.000 6.261 0.000
0.000 0.000 8.395
Dy Tl Se
2 2 8
Direct
0.250 0.250 0.000
0.750 0.750 0.000
0.250 0.250 0.500
0.750 0.750 0.500
0.113 0.613 0.206
0.113 0.887 0.794
0.387 0.613 0.794
0.387 0.887 0.206
0.613 0.113 0.794
0.613 0.387 0.206
0.887 0.113 0.206
0.887 0.387 0.794
```

The 10 most intense peaks (10 to 90 degrees two-theta), low angle first:
2θ 20.06, rel. 27
2θ 28.51, rel. 23
2θ 29.32, rel. 100
2θ 33.75, rel. 33
2θ 35.78, rel. 42
2θ 45.83, rel. 44
2θ 46.37, rel. 16
2θ 63.43, rel. 19
2θ 64.73, rel. 18
2θ 67.25, rel. 13

***

[3]
Simulated powder XRD pattern of Pm2BiTeO8 for copper Kα, from a cell relaxed with PBE.
Peak positions follow from Bragg's law for the DFT cell and can differ from measured ones.

```
Pm2BiTeO8
1.0
3.570 -3.704 0.000
3.570 3.704 0.000
0.000 0.000 6.999
Pm Bi Te O
2 1 1 8
Direct
0.000 0.000 0.241
0.000 0.000 0.759
0.500 0.500 0.500
0.500 0.500 0.000
0.196 0.196 0.500
0.229 0.229 0.000
0.322 0.678 0.214
0.322 0.678 0.786
0.678 0.322 0.214
0.678 0.322 0.786
0.771 0.771 0.000
0.804 0.804 0.500
```

The 10 most intense peaks (10 to 90 degrees two-theta), low angle first:
2θ 24.02, rel. 60
2θ 24.95, rel. 51
2θ 30.91, rel. 100
2θ 34.91, rel. 30
2θ 46.79, rel. 42
2θ 47.83, rel. 36
2θ 58.33, rel. 11
2θ 60.12, rel. 22
2θ 64.42, rel. 11
2θ 81.27, rel. 15

***

[4]
Simulated powder XRD pattern of MgTa4O12 for copper Kα, from a cell relaxed with PBE.
Peak positions follow from Bragg's law for the DFT cell and can differ from measured ones.

```
MgTa4O12
1.0
-3.952 3.952 3.952
3.952 -3.952 3.952
3.952 3.952 -3.952
Mg Ta O
1 4 12
Direct
0.000 0.000 0.000
0.000 0.000 0.500
0.000 0.500 0.000
0.500 0.000 0.000
0.500 0.500 0.500
0.000 0.242 0.758
0.000 0.758 0.242
0.242 0.000 0.758
0.242 0.242 0.483
0.242 0.483 0.242
0.242 0.758 0.000
0.483 0.242 0.242
0.517 0.758 0.758
0.758 0.000 0.242
0.758 0.242 0.000
0.758 0.517 0.758
0.758 0.758 0.517
```

The 10 most intense peaks (10 to 90 degrees two-theta), low angle first:
2θ 22.50, rel. 100
2θ 32.03, rel. 64
2θ 39.50, rel. 13
2θ 45.93, rel. 22
2θ 51.73, rel. 42
2θ 57.09, rel. 27
2θ 66.98, rel. 14
2θ 71.64, rel. 19
2θ 76.18, rel. 12
2θ 89.40, rel. 9

***

[5]
Simulated powder XRD pattern of CaPm5Al4 for copper Kα, from a cell relaxed with PBE.
Peak positions follow from Bragg's law for the DFT cell and can differ from measured ones.

```
CaPm5Al4
1.0
3.681 0.000 0.000
0.000 3.681 0.000
0.000 0.000 20.667
Ca Pm Al
1 5 4
Direct
0.000 0.000 0.000
0.500 0.500 0.140
0.500 0.500 0.320
0.500 0.500 0.500
0.500 0.500 0.680
0.500 0.500 0.860
0.000 0.000 0.227
0.000 0.000 0.410
0.000 0.000 0.590
0.000 0.000 0.773
```

The 10 most intense peaks (10 to 90 degrees two-theta), low angle first:
2θ 24.18, rel. 98
2θ 25.87, rel. 33
2θ 32.57, rel. 100
2θ 34.46, rel. 92
2θ 35.70, rel. 79
2θ 43.59, rel. 33
2θ 49.53, rel. 33
2θ 60.55, rel. 33
2θ 60.80, rel. 28
2θ 62.54, rel. 31

***

[6]
Simulated powder XRD pattern of AcLaSm4Dy2 for copper Kα, from a cell relaxed with PBE.
Peak positions follow from Bragg's law for the DFT cell and can differ from measured ones.

```
AcLaSm4Dy2
1.0
7.351 0.000 0.000
-0.023 7.359 0.000
-0.004 -0.011 10.355
Ac La Sm Dy
2 2 8 4
Direct
0.000 0.000 0.000
0.000 0.500 0.500
0.000 0.000 0.500
0.500 0.000 0.500
0.256 0.254 0.754
0.256 0.746 0.246
0.256 0.746 0.754
0.257 0.254 0.246
0.743 0.746 0.754
0.744 0.254 0.246
0.744 0.254 0.754
0.744 0.746 0.246
0.000 0.500 0.000
0.500 0.000 0.000
0.500 0.500 0.000
0.500 0.500 0.500
```

The 10 most intense peaks (10 to 90 degrees two-theta), low angle first:
2θ 29.80, rel. 100
2θ 34.43, rel. 17
2θ 34.55, rel. 17
2θ 34.65, rel. 17
2θ 49.60, rel. 18
2θ 49.71, rel. 18
2θ 58.85, rel. 15
2θ 58.99, rel. 15
2θ 59.13, rel. 14
2θ 61.89, rel. 13

***

[7]
Simulated powder XRD pattern of Er10In3Pb3 for copper Kα, from a cell relaxed with PBE.
Peak positions follow from Bragg's law for the DFT cell and can differ from measured ones.

```
Er10In3Pb3
1.0
8.941 0.000 0.000
-4.471 7.743 0.000
0.000 0.000 6.612
Er In Pb
10 3 3
Direct
0.000 0.235 0.000
0.000 0.764 0.500
0.235 0.000 0.000
0.236 0.236 0.500
0.333 0.667 0.256
0.333 0.667 0.744
0.667 0.333 0.256
0.667 0.333 0.744
0.764 0.000 0.500
0.765 0.765 0.000
0.000 0.399 0.500
0.399 0.000 0.500
0.601 0.601 0.500
0.000 0.601 0.000
0.399 0.399 0.000
0.601 0.000 0.000
```

The 10 most intense peaks (10 to 90 degrees two-theta), low angle first:
2θ 26.97, rel. 19
2θ 29.38, rel. 15
2θ 30.55, rel. 31
2θ 33.48, rel. 100
2θ 33.72, rel. 71
2θ 34.76, rel. 32
2θ 49.21, rel. 16
2θ 51.94, rel. 29
2θ 66.70, rel. 20
2θ 67.27, rel. 11

***

[8]
Simulated powder XRD pattern of SrHfP2Se8 for copper Kα, from a cell relaxed with PBE.
Peak positions follow from Bragg's law for the DFT cell and can differ from measured ones.

```
SrHfP2Se8
1.0
6.356 0.000 0.000
-3.178 5.504 0.000
0.000 0.000 9.124
Sr Hf P Se
1 1 2 8
Direct
0.000 0.000 0.000
0.000 0.000 0.500
0.333 0.667 0.746
0.667 0.333 0.254
0.014 0.675 0.321
0.325 0.339 0.321
0.333 0.667 0.983
0.339 0.014 0.679
0.661 0.986 0.321
0.667 0.333 0.017
0.675 0.661 0.679
0.986 0.325 0.679
```

The 10 most intense peaks (10 to 90 degrees two-theta), low angle first:
2θ 16.10, rel. 20
2θ 18.83, rel. 38
2θ 25.36, rel. 30
2θ 29.37, rel. 20
2θ 29.77, rel. 69
2θ 34.39, rel. 100
2θ 49.17, rel. 43
2θ 49.69, rel. 44
2θ 58.77, rel. 16
2θ 61.83, rel. 18